# Rb2BeNiO4
Computed powder X-ray diffraction pattern, a wavelength of 1.5418 Å. Input: a DFT-relaxed cell (PBE+U, Alexandria).
Lines closer than 0.1° are merged.

Crystal structure
Lattice parameters (Å, degrees): 11.712 10.377 6.371 85.18 62.00 32.83
Positions (direct):
Rb  0.051  0.051  0.699
Rb  0.301  0.301  0.949
Rb  0.699  0.699  0.051
Rb  0.949  0.949  0.301
Be  0.375  0.375  0.375
Be  0.625  0.625  0.625
Ni  0.125  0.125  0.125
Ni  0.875  0.875  0.875
O  0.021  0.654  0.560
O  0.265  0.560  0.654
O  0.346  0.979  0.735
O  0.440  0.735  0.979
O  0.560  0.265  0.021
O  0.654  0.021  0.265
O  0.735  0.440  0.346
O  0.979  0.346  0.440

Most intense lines, 2θ = 15–90°, in order of falling intensity:
30.53°, rel. 100
20.74°, rel. 67
37.11°, rel. 60
29.85°, rel. 43
30.08°, rel. 40
30.20°, rel. 39
32.43°, rel. 36
41.21°, rel. 34
56.92°, rel. 32
24.23°, rel. 28